This entry pairs a crystal structure of LaAuO3 with its computed PXRD pattern. Radiation: λ = 1.5418 Å (Cu Kα). Structure: DFT lattice parameters and positions (GGA-PBE).

Largest 10 diffraction maxima, in order of falling intensity, 10 to 80 degrees two-theta:
(0 4 1), 31.12°, 2.874 Å, I = 100
(1 1 1), 27.68°, 3.223 Å, I = 54
(1 2 1), 30.09°, 2.970 Å, I = 43
(1 0 2), 38.34°, 2.348 Å, I = 31
(1 0 0), 21.84°, 4.069 Å, I = 27
(1 3 2), 43.64°, 2.074 Å, I = 23
(2 2 1), 49.47°, 1.843 Å, I = 20
(2 3 1), 51.98°, 1.759 Å, I = 18
(1 2 0), 25.69°, 3.468 Å, I = 15
(1 6 2), 57.21°, 1.610 Å, I = 15

Structural model:
Lattice parameters (Å, degrees): 4.069 13.263 5.753 90.00 90.00 90.00
Space group Pbcm (No. 57)
Symmetry-distinct sites (fractional):
La 0.236 0.081 0.250 (multiplicity 4)
Au 0.427 0.670 0.750 (multiplicity 4)
O 0.244 0.578 0.504 (multiplicity 8)
O 0.328 0.250 0.000 (multiplicity 4)

=====

This entry pairs a crystal structure of LaAuO2 with its computed PXRD pattern. Radiation: λ = 1.5418 Å (Cu Kα). Structure: DFT lattice parameters and positions (GGA-PBE).

Largest 10 diffraction maxima, in order of falling intensity, 10 to 80 degrees two-theta:
(0 1 2), 28.23°, 3.161 Å, I = 100
(1 0 4), 33.15°, 2.702 Å, I = 52
(1 1 0), 46.62°, 1.948 Å, I = 30
(1 1 6), 56.26°, 1.635 Å, I = 27
(0 0 6), 29.70°, 3.008 Å, I = 26
(0 1 8), 48.55°, 1.875 Å, I = 25
(2 0 2), 55.40°, 1.659 Å, I = 15
(1 0 10), 57.95°, 1.591 Å, I = 15
(1 2 2), 75.24°, 1.263 Å, I = 13
(0 2 4), 58.39°, 1.580 Å, I = 11

Structural model:
Lattice parameters (Å, degrees): 3.8966 3.8966 18.0453 90.00 90.00 120.00
Space group R-3m (No. 166, hexagonal axes)
Symmetry-distinct sites (fractional):
La 0.0000 0.0000 0.0000 (multiplicity 3)
Au 0.0000 0.0000 0.5000 (multiplicity 3)
O 0.0000 0.0000 0.3874 (multiplicity 6)

=====

This entry pairs a crystal structure of LaPbAu with its computed PXRD pattern. Radiation: λ = 1.5418 Å (Cu Kα). Structure: DFT lattice parameters and positions (GGA-PBE).

Largest 10 diffraction maxima, in order of falling intensity, 10 to 80 degrees two-theta:
(1 0 2), 30.57°, 2.924 Å, I = 100
(1 1 0), 36.62°, 2.454 Å, I = 79
(1 1 4), 59.35°, 1.557 Å, I = 40
(2 0 2), 48.43°, 1.880 Å, I = 28
(2 1 2), 62.22°, 1.492 Å, I = 27
(1 1 2), 43.17°, 2.096 Å, I = 25
(0 0 2), 22.06°, 4.030 Å, I = 22
(0 0 4), 44.99°, 2.015 Å, I = 15
(3 0 0), 65.94°, 1.417 Å, I = 15
(2 2 0), 77.86°, 1.227 Å, I = 9

Structural model:
Lattice parameters (Å, degrees): 4.9072 4.9072 8.0605 90.00 90.00 120.00
Space group P6_3/mmc (No. 194)
Symmetry-distinct sites (fractional):
La 0.0000 0.0000 0.0000 (multiplicity 2)
Pb 0.3333 0.6667 0.2500 (multiplicity 2)
Au 0.3333 0.6667 0.7500 (multiplicity 2)

=====

This entry pairs a crystal structure of La2RuAu with its computed PXRD pattern. Radiation: λ = 1.5418 Å (Cu Kα). Structure: DFT lattice parameters and positions (GGA-PBE).

Largest 9 diffraction maxima, in order of falling intensity, 10 to 80 degrees two-theta:
(2 2 0), 34.53°, 2.598 Å, I = 100
(4 2 2), 61.87°, 1.500 Å, I = 37
(4 0 0), 49.63°, 1.837 Å, I = 18
(4 4 0), 72.82°, 1.299 Å, I = 11
(1 1 1), 20.94°, 4.242 Å, I = 6
(3 1 1), 40.73°, 2.215 Å, I = 4
(3 3 1), 54.44°, 1.685 Å, I = 2
(5 3 1), 76.75°, 1.242 Å, I = 1
(5 1 1), 66.08°, 1.414 Å, I = 1

Structural model:
Lattice parameters (Å, degrees): 7.347 7.347 7.347 90.00 90.00 90.00
Space group Fm-3m (No. 225)
Symmetry-distinct sites (fractional):
La 0.250 0.250 0.250 (multiplicity 8)
Ru 0.000 0.000 0.000 (multiplicity 4)
Au 0.000 0.000 0.500 (multiplicity 4)

=====

This entry pairs a crystal structure of La3Sb4Au3 with its computed PXRD pattern. Radiation: λ = 1.5418 Å (Cu Kα). Structure: DFT lattice parameters and positions (GGA-PBE).

Largest 10 diffraction maxima, in order of falling intensity, 10 to 80 degrees two-theta:
(3 2 1), 32.69°, 2.739 Å, I = 100
(4 2 0), 39.31°, 2.292 Å, I = 48
(2 1 1), 21.23°, 4.184 Å, I = 28
(5 1 0), 45.10°, 2.010 Å, I = 16
(5 2 1), 48.66°, 1.871 Å, I = 15
(4 2 2), 43.24°, 2.092 Å, I = 14
(5 5 2), 67.11°, 1.395 Å, I = 14
(6 2 0), 56.81°, 1.621 Å, I = 11
(4 4 4), 62.81°, 1.479 Å, I = 11
(6 4 0), 65.69°, 1.421 Å, I = 11

Structural model:
Lattice parameters (Å, degrees): 10.250 10.250 10.250 90.00 90.00 90.00
Space group I-43d (No. 220)
Symmetry-distinct sites (fractional):
La 0.000 0.250 0.875 (multiplicity 12)
Sb 0.086 0.414 0.586 (multiplicity 16)
Au 0.000 0.250 0.375 (multiplicity 12)

=====

This entry pairs a crystal structure of LaSb2Au with its computed PXRD pattern. Radiation: λ = 1.5418 Å (Cu Kα). Structure: DFT lattice parameters and positions (GGA-PBE).

Largest 10 diffraction maxima, in order of falling intensity, 10 to 80 degrees two-theta:
(1 1 2), 35.27°, 2.545 Å, I = 100
(2 0 0), 30.97°, 2.888 Å, I = 73
(3 1 2), 57.90°, 1.593 Å, I = 48
(2 2 0), 44.37°, 2.042 Å, I = 27
(2 0 4), 65.90°, 1.417 Å, I = 15
(4 2 0), 73.31°, 1.291 Å, I = 12
(3 3 2), 75.75°, 1.256 Å, I = 11
(2 2 4), 74.59°, 1.272 Å, I = 10
(4 0 0), 64.55°, 1.444 Å, I = 9
(0 0 4), 56.57°, 1.627 Å, I = 6

Structural model:
Lattice parameters (Å, degrees): 5.775 5.775 6.508 90.00 90.00 90.00
Space group P4/nmm (No. 129, origin choice 2)
Symmetry-distinct sites (fractional):
La 0.250 0.250 0.229 (multiplicity 2)
Sb 0.250 0.250 0.727 (multiplicity 2)
Sb 0.250 0.750 0.000 (multiplicity 2)
Au 0.250 0.750 0.500 (multiplicity 2)

=====

This entry pairs a crystal structure of La2SbAu3 with its computed PXRD pattern. Radiation: λ = 1.5418 Å (Cu Kα). Structure: DFT lattice parameters and positions (GGA-PBE).

Largest 10 diffraction maxima, in order of falling intensity, 10 to 80 degrees two-theta:
(1 1 1), 31.38°, 2.851 Å, I = 100
(0 1 3), 37.24°, 2.414 Å, I = 73
(1 0 2), 30.82°, 2.901 Å, I = 47
(2 1 3), 60.24°, 1.536 Å, I = 36
(0 2 0), 38.64°, 2.330 Å, I = 34
(1 0 0), 22.32°, 3.983 Å, I = 27
(1 2 2), 50.22°, 1.817 Å, I = 24
(2 0 0), 45.55°, 1.991 Å, I = 21
(1 1 3), 43.85°, 2.065 Å, I = 19
(2 2 0), 61.23°, 1.514 Å, I = 18

Structural model:
Lattice parameters (Å, degrees): 3.983 4.660 8.468 90.00 90.00 90.00
Space group Pmm2 (No. 25)
Symmetry-distinct sites (fractional):
La 0.000 0.000 0.000 (multiplicity 1)
La 0.000 0.500 0.482 (multiplicity 1)
Sb 0.500 0.500 0.826 (multiplicity 1)
Au 0.500 0.000 0.327 (multiplicity 1)
Au 0.500 0.000 0.651 (multiplicity 1)
Au 0.500 0.500 0.157 (multiplicity 1)

=====

This entry pairs a crystal structure of LaSb2Au with its computed PXRD pattern. Radiation: λ = 1.5418 Å (Cu Kα). Structure: DFT lattice parameters and positions (GGA-PBE).

Largest 10 diffraction maxima, in order of falling intensity, 10 to 80 degrees two-theta:
(1 1 2), 32.90°, 2.722 Å, I = 100
(2 0 0), 40.08°, 2.250 Å, I = 35
(3 1 2), 68.29°, 1.373 Å, I = 24
(2 0 4), 53.60°, 1.710 Å, I = 16
(0 0 4), 34.08°, 2.631 Å, I = 14
(2 2 0), 57.98°, 1.591 Å, I = 12
(1 1 3), 38.19°, 2.356 Å, I = 9
(1 1 6), 60.25°, 1.536 Å, I = 9
(1 1 4), 44.70°, 2.027 Å, I = 8
(2 2 4), 68.99°, 1.361 Å, I = 7

Structural model:
Lattice parameters (Å, degrees): 4.499 4.499 10.523 90.00 90.00 90.00
Space group P4/nmm (No. 129, origin choice 2)
Symmetry-distinct sites (fractional):
La 0.250 0.250 0.247 (multiplicity 2)
Sb 0.250 0.250 0.673 (multiplicity 2)
Sb 0.250 0.750 0.000 (multiplicity 2)
Au 0.250 0.750 0.500 (multiplicity 2)

=====

This entry pairs a crystal structure of LaSi2Au2 with its computed PXRD pattern. Radiation: λ = 1.5418 Å (Cu Kα). Structure: DFT lattice parameters and positions (GGA-PBE).

Largest 10 diffraction maxima, in order of falling intensity, 10 to 80 degrees two-theta:
(1 1 2), 33.70°, 2.660 Å, I = 100
(2 0 0), 41.17°, 2.193 Å, I = 35
(0 0 2), 17.14°, 5.172 Å, I = 26
(3 1 2), 70.27°, 1.339 Å, I = 24
(2 0 4), 54.90°, 1.672 Å, I = 20
(0 0 4), 34.69°, 2.586 Å, I = 18
(1 1 6), 61.54°, 1.507 Å, I = 16
(1 1 4), 45.68°, 1.986 Å, I = 15
(2 2 0), 59.63°, 1.550 Å, I = 12
(1 0 3), 33.05°, 2.711 Å, I = 10

Structural model:
Lattice parameters (Å, degrees): 4.385 4.385 10.345 90.00 90.00 90.00
Space group I4/mmm (No. 139)
Symmetry-distinct sites (fractional):
La 0.000 0.000 0.000 (multiplicity 2)
Si 0.000 0.000 0.386 (multiplicity 4)
Au 0.000 0.500 0.250 (multiplicity 4)

=====

This entry pairs a crystal structure of LiAu3 with its computed PXRD pattern. Radiation: λ = 1.5418 Å (Cu Kα). Structure: DFT lattice parameters and positions (GGA-PBE).

Largest 10 diffraction maxima, in order of falling intensity, 10 to 80 degrees two-theta:
(1 1 1), 38.27°, 2.352 Å, I = 100
(2 0 0), 44.48°, 2.037 Å, I = 49
(3 1 1), 77.76°, 1.228 Å, I = 40
(2 2 0), 64.73°, 1.440 Å, I = 33
(1 0 0), 21.82°, 4.074 Å, I = 32
(1 1 0), 31.05°, 2.880 Å, I = 27
(2 1 0), 50.07°, 1.822 Å, I = 15
(2 1 1), 55.23°, 1.663 Å, I = 11
(3 0 0), 69.19°, 1.358 Å, I = 7
(3 1 0), 73.52°, 1.288 Å, I = 5

Structural model:
Lattice parameters (Å, degrees): 4.074 4.074 4.074 90.00 90.00 90.00
Space group Pm-3m (No. 221)
Symmetry-distinct sites (fractional):
Li 0.000 0.000 0.000 (multiplicity 1)
Au 0.000 0.500 0.500 (multiplicity 3)

=====

This entry pairs a crystal structure of LiAu with its computed PXRD pattern. Radiation: λ = 1.5418 Å (Cu Kα). Structure: DFT lattice parameters and positions (GGA-PBE).

Largest 10 diffraction maxima, in order of falling intensity, 10 to 80 degrees two-theta:
(0 0 3), 20.83°, 4.265 Å, I = 100
(1 0 1), 35.78°, 2.510 Å, I = 79
(0 1 2), 37.86°, 2.376 Å, I = 76
(1 0 4), 45.38°, 1.998 Å, I = 46
(0 1 5), 50.43°, 1.810 Å, I = 30
(1 1 3), 67.02°, 1.396 Å, I = 26
(1 1 6), 78.80°, 1.215 Å, I = 19
(0 0 6), 42.39°, 2.132 Å, I = 18
(1 1 0), 62.89°, 1.478 Å, I = 17
(1 0 7), 62.43°, 1.487 Å, I = 16

Structural model:
Lattice parameters (Å, degrees): 2.9556 2.9556 12.7942 90.00 90.00 120.00
Space group R-3m (No. 166, hexagonal axes)
Symmetry-distinct sites (fractional):
Li 0.0000 0.0000 0.0000 (multiplicity 3)
Au 0.0000 0.0000 0.5000 (multiplicity 3)

=====

This entry pairs a crystal structure of LiAu3 with its computed PXRD pattern. Radiation: λ = 1.5418 Å (Cu Kα). Structure: DFT lattice parameters and positions (GGA-PBE).

Largest 10 diffraction maxima, in order of falling intensity, 10 to 80 degrees two-theta:
(1 1 2), 38.17°, 2.358 Å, I = 100
(1 0 1), 24.53°, 3.629 Å, I = 32
(2 0 0), 45.12°, 2.009 Å, I = 31
(3 1 2), 78.61°, 1.217 Å, I = 26
(2 0 4), 63.96°, 1.456 Å, I = 22
(0 0 4), 42.83°, 2.112 Å, I = 18
(1 1 6), 75.34°, 1.261 Å, I = 14
(0 0 2), 21.04°, 4.223 Å, I = 11
(2 2 0), 65.72°, 1.421 Å, I = 10
(1 0 3), 39.06°, 2.306 Å, I = 10

Structural model:
Lattice parameters (Å, degrees): 4.019 4.019 8.446 90.00 90.00 90.00
Space group I4/mmm (No. 139)
Symmetry-distinct sites (fractional):
Li 0.000 0.000 0.000 (multiplicity 2)
Au 0.000 0.000 0.500 (multiplicity 2)
Au 0.000 0.500 0.250 (multiplicity 4)

=====

This entry pairs a crystal structure of LiAu with its computed PXRD pattern. Radiation: λ = 1.5418 Å (Cu Kα). Structure: DFT lattice parameters and positions (GGA-PBE).

Largest 6 diffraction maxima, in order of falling intensity, 10 to 80 degrees two-theta:
(1 0 0), 28.38°, 3.145 Å, I = 100
(1 1 0), 40.57°, 2.224 Å, I = 87
(2 1 0), 66.48°, 1.406 Å, I = 37
(2 1 1), 73.81°, 1.284 Å, I = 31
(1 1 1), 50.25°, 1.816 Å, I = 28
(2 0 0), 58.72°, 1.572 Å, I = 15

Structural model:
Lattice parameters (Å, degrees): 3.145 3.145 3.145 90.00 90.00 90.00
Space group Pm-3m (No. 221)
Symmetry-distinct sites (fractional):
Li 0.000 0.000 0.000 (multiplicity 1)
Au 0.500 0.500 0.500 (multiplicity 1)

=====

This entry pairs a crystal structure of LiAu3 with its computed PXRD pattern. Radiation: λ = 1.5418 Å (Cu Kα). Structure: DFT lattice parameters and positions (GGA-PBE).

Largest 10 diffraction maxima, in order of falling intensity, 10 to 80 degrees two-theta:
(2 0 1), 41.11°, 2.196 Å, I = 100
(1 0 1), 25.72°, 3.464 Å, I = 37
(0 0 2), 36.82°, 2.441 Å, I = 30
(2 0 0), 36.55°, 2.459 Å, I = 23
(2 0 3), 69.24°, 1.357 Å, I = 22
(2 2 2), 77.85°, 1.227 Å, I = 21
(2 2 0), 65.79°, 1.419 Å, I = 17
(2 0 2), 52.85°, 1.732 Å, I = 16
(1 1 0), 31.51°, 2.839 Å, I = 14
(1 0 0), 18.04°, 4.917 Å, I = 11

Structural model:
Lattice parameters (Å, degrees): 5.6777 5.6777 4.8819 90.00 90.00 120.00
Space group P6_3/mmc (No. 194)
Symmetry-distinct sites (fractional):
Li 0.3333 0.6667 0.2500 (multiplicity 2)
Au 0.1685 0.3370 0.7500 (multiplicity 6)

=====

This entry pairs a crystal structure of LiLu2Au with its computed PXRD pattern. Radiation: λ = 1.5418 Å (Cu Kα). Structure: DFT lattice parameters and positions (GGA-PBE).

Largest 10 diffraction maxima, in order of falling intensity, 10 to 80 degrees two-theta:
(2 2 0), 36.01°, 2.494 Å, I = 100
(4 2 2), 64.74°, 1.440 Å, I = 37
(1 1 1), 21.82°, 4.073 Å, I = 29
(4 0 0), 51.85°, 1.763 Å, I = 18
(3 1 1), 42.50°, 2.127 Å, I = 16
(4 4 0), 76.38°, 1.247 Å, I = 12
(2 0 0), 25.25°, 3.527 Å, I = 9
(3 3 1), 56.90°, 1.618 Å, I = 7
(5 1 1), 69.21°, 1.358 Å, I = 5
(4 2 0), 58.52°, 1.577 Å, I = 3

Structural model:
Lattice parameters (Å, degrees): 7.054 7.054 7.054 90.00 90.00 90.00
Space group Fm-3m (No. 225)
Symmetry-distinct sites (fractional):
Li 0.000 0.000 0.000 (multiplicity 4)
Lu 0.250 0.250 0.250 (multiplicity 8)
Au 0.000 0.000 0.500 (multiplicity 4)